Record 1
Theoretical X-ray powder pattern
Compound: ZrTa2W
Radiation: Cu Kα X-rays
Structure: the PBE geometry in Alexandria
Peak positions follow from Bragg's law for the DFT cell and can differ from measured ones.

Structure:
```
ZrTa2W
1.0
0.0000 3.3325 3.3325
3.3325 0.0000 3.3325
3.3325 3.3325 0.0000
Zr Ta W
1 2 1
direct
0.0000 0.0000 0.0000
0.2500 0.2500 0.2500
0.5000 0.5000 0.5000
0.7500 0.7500 0.7500
```

Principal peaks in the range 2θ = 10–80°, by angle:
d = 3.848 Å, I 4
d = 3.333 Å, I 2
d = 2.356 Å, I 100
d = 2.010 Å, I 2
d = 1.666 Å, I 17
d = 1.529 Å, I 1
d = 1.490 Å, I 1
d = 1.360 Å, I 35


Record 2
Theoretical X-ray powder pattern
Compound: AgSnAu3
Radiation: Cu Kα X-rays
Structure: the PBE geometry in Alexandria
Peak positions follow from Bragg's law for the DFT cell and can differ from measured ones.

Structure:
```
AgSnAu3
1.0
5.1724 0.0000 0.0000
1.5880 5.0388 0.0000
2.5687 0.0426 7.3745
Ag Sn Au
2 2 6
direct
0.1479 0.2486 0.2075
0.8521 0.7514 0.7925
0.3519 0.2511 0.7931
0.6481 0.7489 0.2069
0.0521 0.7493 0.3989
0.2499 0.7492 0.9988
0.4480 0.7506 0.6035
0.5520 0.2494 0.3965
0.7501 0.2508 0.0012
0.9479 0.2507 0.6011
```

Principal peaks in the range 2θ = 10–80°, by angle:
d = 2.519 Å, I 56
d = 2.467 Å, I 53
d = 2.417 Å, I 100
d = 2.140 Å, I 35
d = 2.128 Å, I 35
d = 2.107 Å, I 34
d = 1.269 Å, I 20
d = 1.268 Å, I 13


Record 3
Theoretical X-ray powder pattern
Compound: PmNd6Ag
Radiation: Cu Kα X-rays
Structure: the PBE geometry in Alexandria
Peak positions follow from Bragg's law for the DFT cell and can differ from measured ones.

Structure:
```
PmNd6Ag
1.0
6.4758 0.0000 0.0000
-0.6869 6.4411 0.0000
-0.6805 -0.7434 6.3996
Pm Nd Ag
1 6 1
direct
0.0000 0.0000 0.0000
0.0685 0.2634 0.5481
0.2631 0.5477 0.0689
0.4524 0.9312 0.7369
0.5476 0.0688 0.2631
0.7369 0.4523 0.9311
0.9315 0.7366 0.4519
0.5000 0.5000 0.5000
```

Principal peaks in the range 2θ = 10–80°, by angle:
d = 3.325 Å, I 25
d = 3.199 Å, I 25
d = 3.005 Å, I 100
d = 2.779 Å, I 16
d = 2.736 Å, I 30
d = 2.664 Å, I 90
d = 1.956 Å, I 20
d = 1.819 Å, I 28


Record 4
Theoretical X-ray powder pattern
Compound: NpNb2Os
Radiation: Cu Kα X-rays
Structure: the PBE geometry in Alexandria
Peak positions follow from Bragg's law for the DFT cell and can differ from measured ones.

Structure:
```
NpNb2Os
1.0
4.7788 0.0000 0.0000
0.0000 4.7788 0.0000
0.0000 0.0000 3.1142
Np Nb Os
1 2 1
direct
0.0000 0.0000 0.0000
0.0000 0.5000 0.5000
0.5000 0.0000 0.5000
0.5000 0.5000 0.0000
```

Principal peaks in the range 2θ = 10–80°, by angle:
d = 3.379 Å, I 19
d = 3.114 Å, I 8
d = 2.389 Å, I 56
d = 2.290 Å, I 100
d = 1.896 Å, I 8
d = 1.690 Å, I 20
d = 1.360 Å, I 38
d = 1.305 Å, I 17